[1]
Calculated X-ray diffraction stick pattern
Compound: Cu3NiPd2
Radiation: CuKα
Structure: the PBE geometry in Alexandria
Kinematic intensities with the Lorentz-polarization factor, no thermal factor.

The 10 most intense peaks (10 to 90 degrees two-theta), in order of falling intensity:
41.73 deg, 2.165 Å, rel. 100; 42.14 deg, 2.145 Å, rel. 97; 47.73 deg, 1.905 Å, rel. 35; 47.86 deg, 1.901 Å, rel. 34; 50.79 deg, 1.798 Å, rel. 28; 72.25 deg, 1.308 Å, rel. 18; 72.35 deg, 1.306 Å, rel. 18; 84.47 deg, 1.147 Å, rel. 12; 84.66 deg, 1.145 Å, rel. 12; 85.30 deg, 1.138 Å, rel. 11

```
12
Lattice="4.505 0.000 0.000 -0.627 4.551 0.000 -1.849 -0.450 7.621" Properties=species:S:1:pos:R:3 pbc="T T T"
Cu 0.189 0.327 3.508
Cu 0.193 2.750 2.205
Cu -1.027 2.379 7.318
Cu 3.057 1.723 0.302
Cu 1.836 1.351 5.416
Cu 1.841 3.775 4.113
Ni -0.411 0.228 6.015
Ni 2.441 3.873 1.606
Pd 0.814 0.502 0.947
Pd -0.417 2.556 4.775
Pd 2.446 1.546 2.846
Pd 1.216 3.600 6.674
```


[2]
Calculated X-ray diffraction stick pattern
Compound: U5As2C2
Radiation: CuKα
Structure: the PBE geometry in Alexandria
Kinematic intensities with the Lorentz-polarization factor, no thermal factor.

The 10 most intense peaks (10 to 90 degrees two-theta), in order of falling intensity:
36.54 deg, 2.459 Å, rel. 100; 42.96 deg, 2.105 Å, rel. 80; 30.36 deg, 2.944 Å, rel. 56; 29.66 deg, 3.012 Å, rel. 54; 39.03 deg, 2.308 Å, rel. 53; 26.41 deg, 3.375 Å, rel. 39; 43.56 deg, 2.078 Å, rel. 35; 24.79 deg, 3.591 Å, rel. 30; 12.32 deg, 7.183 Å, rel. 29; 74.27 deg, 1.277 Å, rel. 25

```
18
Lattice="7.183 -3.369 0.000 7.183 3.369 0.000 0.000 0.000 6.723" Properties=species:S:1:pos:R:3 pbc="T T T"
U 0.000 0.000 0.000
U 5.551 2.469 4.268
U 8.814 2.469 4.268
U 5.551 0.900 0.906
U 8.814 0.900 0.906
U 7.183 0.000 3.362
U 5.551 -0.900 5.817
U 8.814 -0.900 5.817
U 5.551 -2.469 2.455
U 8.814 -2.469 2.455
As 2.920 0.000 0.000
As 4.263 0.000 3.362
As 10.103 0.000 3.362
As 11.445 0.000 0.000
C 7.183 2.268 2.272
C 7.183 1.101 5.633
C 7.183 -1.101 1.090
C 7.183 -2.268 4.452
```


[3]
Calculated X-ray diffraction stick pattern
Compound: Cs4H12Br
Radiation: CuKα
Structure: the PBE geometry in Alexandria
Kinematic intensities with the Lorentz-polarization factor, no thermal factor.

The 10 most intense peaks (10 to 90 degrees two-theta), in order of falling intensity:
25.50 deg, 3.493 Å, rel. 100; 17.96 deg, 4.940 Å, rel. 55; 44.95 deg, 2.017 Å, rel. 41; 40.85 deg, 2.209 Å, rel. 29; 71.46 deg, 1.320 Å, rel. 21; 31.37 deg, 2.852 Å, rel. 20; 36.37 deg, 2.470 Å, rel. 19; 59.14 deg, 1.562 Å, rel. 18; 55.83 deg, 1.647 Å, rel. 15; 52.39 deg, 1.746 Å, rel. 13

```
17
Lattice="-4.940 4.940 4.940 4.940 -4.940 4.940 4.940 4.940 -4.940" Properties=species:S:1:pos:R:3 pbc="T T T"
Cs 2.470 2.470 -2.470
Cs 2.470 -2.470 2.470
Cs -2.470 2.470 2.470
Cs 2.470 2.470 2.470
H 4.551 1.231 0.000
H 5.328 1.231 0.000
H 4.940 -0.388 3.708
H 4.940 0.388 3.708
H 3.708 4.940 -0.388
H 1.231 0.000 4.551
H 3.708 4.940 0.388
H 1.231 0.000 5.328
H 0.000 4.551 1.231
H 0.000 5.328 1.231
H -0.388 3.708 4.940
H 0.388 3.708 4.940
Br 0.000 0.000 0.000
```


[4]
Calculated X-ray diffraction stick pattern
Compound: KAc2Ce
Radiation: CuKα
Structure: the PBE geometry in Alexandria
Kinematic intensities with the Lorentz-polarization factor, no thermal factor.

The 10 most intense peaks (10 to 90 degrees two-theta), in order of falling intensity:
28.78 deg, 3.102 Å, rel. 100; 34.36 deg, 2.610 Å, rel. 81; 27.03 deg, 3.299 Å, rel. 48; 47.11 deg, 1.929 Å, rel. 35; 12.71 deg, 6.966 Å, rel. 33; 25.57 deg, 3.483 Å, rel. 31; 26.77 deg, 3.330 Å, rel. 29; 30.66 deg, 2.916 Å, rel. 29; 58.17 deg, 1.586 Å, rel. 26; 54.37 deg, 1.687 Å, rel. 24

```
4
Lattice="1.929 1.114 13.932 -1.929 1.114 13.932 0.000 -2.227 13.932" Properties=species:S:1:pos:R:3 pbc="T T T"
K 0.000 0.000 0.000
Ac 0.000 0.000 3.998
Ac 0.000 0.000 37.799
Ce 0.000 0.000 20.898
```


[5]
Calculated X-ray diffraction stick pattern
Compound: Sm4In3Au
Radiation: CuKα
Structure: the PBE geometry in Alexandria
Kinematic intensities with the Lorentz-polarization factor, no thermal factor.

The 10 most intense peaks (10 to 90 degrees two-theta), in order of falling intensity:
32.82 deg, 2.729 Å, rel. 100; 34.87 deg, 2.573 Å, rel. 44; 61.23 deg, 1.514 Å, rel. 33; 57.24 deg, 1.609 Å, rel. 18; 50.14 deg, 1.819 Å, rel. 16; 73.63 deg, 1.286 Å, rel. 12; 68.80 deg, 1.364 Å, rel. 10; 43.89 deg, 2.063 Å, rel. 10; 84.13 deg, 1.151 Å, rel. 7; 82.98 deg, 1.164 Å, rel. 7

```
8
Lattice="3.639 0.000 0.000 0.000 3.639 0.000 0.000 0.000 16.503" Properties=species:S:1:pos:R:3 pbc="T T T"
Sm 0.000 0.000 1.841
Sm 0.000 0.000 6.118
Sm 0.000 0.000 10.385
Sm 0.000 0.000 14.662
In 1.819 1.819 3.983
In 1.819 1.819 8.252
In 1.819 1.819 12.521
Au 1.819 1.819 0.000
```


[6]
Calculated X-ray diffraction stick pattern
Compound: Nd5Er2Tl4
Radiation: CuKα
Structure: the PBE geometry in Alexandria
Kinematic intensities with the Lorentz-polarization factor, no thermal factor.

The 10 most intense peaks (10 to 90 degrees two-theta), in order of falling intensity:
30.77 deg, 2.906 Å, rel. 100; 35.47 deg, 2.531 Å, rel. 50; 25.59 deg, 3.481 Å, rel. 44; 30.62 deg, 2.919 Å, rel. 43; 34.64 deg, 2.590 Å, rel. 41; 34.15 deg, 2.626 Å, rel. 40; 30.94 deg, 2.890 Å, rel. 29; 61.91 deg, 1.499 Å, rel. 28; 38.61 deg, 2.332 Å, rel. 27; 41.15 deg, 2.194 Å, rel. 24

```
11
Lattice="17.244 -1.750 0.000 17.244 1.750 0.000 -0.285 0.000 5.818" Properties=species:S:1:pos:R:3 pbc="T T T"
Nd 0.000 0.000 0.000
Nd 10.117 0.000 5.379
Nd 12.434 0.000 2.666
Nd 21.769 0.000 3.152
Nd 24.086 0.000 0.439
Er 13.897 0.000 5.639
Er 20.306 0.000 0.179
Tl 7.287 0.000 3.491
Tl 15.586 0.000 2.819
Tl 18.617 0.000 2.999
Tl 26.916 0.000 2.327
```


[7]
Calculated X-ray diffraction stick pattern
Compound: Li3Sb5
Radiation: CuKα
Structure: the PBE geometry in Alexandria
Kinematic intensities with the Lorentz-polarization factor, no thermal factor.

The 10 most intense peaks (10 to 90 degrees two-theta), in order of falling intensity:
28.47 deg, 3.135 Å, rel. 100; 27.74 deg, 3.215 Å, rel. 77; 30.82 deg, 2.902 Å, rel. 66; 32.22 deg, 2.778 Å, rel. 66; 42.76 deg, 2.115 Å, rel. 61; 20.35 deg, 4.365 Å, rel. 53; 18.21 deg, 4.873 Å, rel. 50; 45.68 deg, 1.986 Å, rel. 49; 41.62 deg, 2.170 Å, rel. 42; 21.28 deg, 4.176 Å, rel. 41

```
16
Lattice="6.658 0.000 0.000 0.125 7.413 0.000 2.984 1.571 8.348" Properties=species:S:1:pos:R:3 pbc="T T T"
Li 1.197 0.630 1.543
Li 1.649 3.281 0.444
Li 3.876 3.381 4.115
Li 5.890 5.603 4.233
Li 8.118 5.703 7.904
Li 8.570 8.354 6.806
Sb 3.494 5.759 5.923
Sb 3.036 7.967 4.012
Sb 4.302 2.520 7.014
Sb 2.855 5.536 2.126
Sb 5.636 7.193 7.354
Sb 4.131 1.791 0.994
Sb 6.911 3.448 6.222
Sb 5.465 6.464 1.334
Sb 6.730 1.017 4.336
Sb 6.272 3.225 2.425
```


[8]
Calculated X-ray diffraction stick pattern
Compound: Tm8Pu
Radiation: CuKα
Structure: the PBE geometry in Alexandria
Kinematic intensities with the Lorentz-polarization factor, no thermal factor.

The 10 most intense peaks (10 to 90 degrees two-theta), in order of falling intensity:
32.91 deg, 2.721 Å, rel. 100; 31.37 deg, 2.852 Å, rel. 57; 56.83 deg, 1.620 Å, rel. 43; 44.96 deg, 2.016 Å, rel. 21; 59.72 deg, 1.548 Å, rel. 18; 69.02 deg, 1.361 Å, rel. 12; 74.39 deg, 1.275 Å, rel. 10; 75.24 deg, 1.263 Å, rel. 9; 49.43 deg, 1.844 Å, rel. 8; 81.94 deg, 1.176 Å, rel. 8

```
9
Lattice="-6.049 6.049 1.844 6.049 -6.049 1.844 6.049 6.049 -1.844" Properties=species:S:1:pos:R:3 pbc="T T T"
Tm 4.043 0.000 0.000
Tm 8.055 0.000 0.000
Tm 0.000 4.043 0.000
Tm 4.054 4.054 0.000
Tm 1.996 -1.996 1.844
Tm -1.996 1.996 1.844
Tm 1.996 1.996 1.844
Tm 0.000 8.055 0.000
Pu 0.000 0.000 0.000
```


[9]
Calculated X-ray diffraction stick pattern
Compound: AlCoI2
Radiation: CuKα
Structure: the PBE geometry in Alexandria
Kinematic intensities with the Lorentz-polarization factor, no thermal factor.

The 10 most intense peaks (10 to 90 degrees two-theta), in order of falling intensity:
28.08 deg, 3.177 Å, rel. 100; 43.34 deg, 2.088 Å, rel. 60; 16.09 deg, 5.510 Å, rel. 44; 27.98 deg, 3.189 Å, rel. 40; 32.38 deg, 2.765 Å, rel. 33; 52.65 deg, 1.739 Å, rel. 24; 60.36 deg, 1.534 Å, rel. 20; 43.50 deg, 2.080 Å, rel. 18; 22.74 deg, 3.910 Å, rel. 17; 36.34 deg, 2.472 Å, rel. 16

```
8
Lattice="-3.910 3.910 3.882 3.910 -3.910 3.882 3.910 3.910 -3.882" Properties=species:S:1:pos:R:3 pbc="T T T"
Al 0.000 0.000 0.000
Al 0.000 3.910 1.941
Co 3.910 0.000 1.941
Co 0.000 0.000 3.882
I 1.955 2.547 -0.970
I 5.274 1.955 0.970
I 1.955 1.363 2.911
I -1.363 1.955 4.852
```


[10]
Calculated X-ray diffraction stick pattern
Compound: Na4Hf3AgTe8
Radiation: CuKα
Structure: the PBE geometry in Alexandria
Kinematic intensities with the Lorentz-polarization factor, no thermal factor.

The 10 most intense peaks (10 to 90 degrees two-theta), in order of falling intensity:
29.10 deg, 3.068 Å, rel. 100; 11.72 deg, 7.552 Å, rel. 50; 40.31 deg, 2.237 Å, rel. 37; 42.91 deg, 2.107 Å, rel. 36; 52.69 deg, 1.737 Å, rel. 19; 37.13 deg, 2.422 Å, rel. 17; 70.22 deg, 1.340 Å, rel. 15; 66.49 deg, 1.406 Å, rel. 13; 24.70 deg, 3.604 Å, rel. 12; 44.64 deg, 2.030 Å, rel. 12

```
16
Lattice="4.215 2.433 7.552 -4.215 2.433 7.552 0.000 -4.867 7.552" Properties=species:S:1:pos:R:3 pbc="T T T"
Na 0.000 0.000 0.000
Na -2.107 -1.217 7.552
Na -2.107 1.217 15.104
Na 0.000 2.433 7.552
Hf -4.215 0.000 11.328
Hf -2.107 1.217 3.776
Hf 2.107 1.217 3.776
Ag 0.000 0.000 11.328
Te -2.163 -1.249 12.980
Te 0.000 0.000 5.448
Te 0.000 -2.498 9.676
Te -2.163 1.249 9.676
Te 2.163 -1.249 12.980
Te 0.000 2.498 12.980
Te 0.000 0.000 17.207
Te 2.163 1.249 9.676
```


[11]
Calculated X-ray diffraction stick pattern
Compound: PuTiTlO6
Radiation: CuKα
Structure: the PBE geometry in Alexandria
Kinematic intensities with the Lorentz-polarization factor, no thermal factor.

The 10 most intense peaks (10 to 90 degrees two-theta), in order of falling intensity:
23.90 deg, 3.722 Å, rel. 100; 44.66 deg, 2.029 Å, rel. 46; 33.18 deg, 2.700 Å, rel. 34; 20.32 deg, 4.371 Å, rel. 30; 29.00 deg, 3.079 Å, rel. 28; 53.98 deg, 1.699 Å, rel. 22; 41.31 deg, 2.186 Å, rel. 21; 48.49 deg, 1.877 Å, rel. 14; 70.48 deg, 1.336 Å, rel. 10; 59.28 deg, 1.559 Å, rel. 10

```
18
Lattice="5.400 0.000 0.000 -2.700 4.676 0.000 0.000 0.000 12.300" Properties=species:S:1:pos:R:3 pbc="T T T"
Pu 0.000 3.118 3.075
Pu 2.700 1.559 9.225
Ti 0.000 3.118 9.225
Ti 2.700 1.559 3.075
Tl 0.000 0.000 0.000
Tl 0.000 0.000 6.150
O -1.013 1.792 8.146
O -1.655 2.903 10.304
O 1.013 1.792 10.304
O -0.641 4.658 8.146
O 2.058 0.018 1.996
O 1.045 1.774 4.154
O 1.655 2.903 8.146
O 0.641 4.658 10.304
O 3.341 0.018 4.154
O 1.687 2.885 1.996
O 4.355 1.774 1.996
O 3.713 2.885 4.154
```


[12]
Calculated X-ray diffraction stick pattern
Compound: LiPrInGa
Radiation: CuKα
Structure: the PBE geometry in Alexandria
Kinematic intensities with the Lorentz-polarization factor, no thermal factor.

The 10 most intense peaks (10 to 90 degrees two-theta), in order of falling intensity:
35.03 deg, 2.562 Å, rel. 100; 21.24 deg, 4.183 Å, rel. 43; 62.83 deg, 1.479 Å, rel. 36; 41.33 deg, 2.185 Å, rel. 23; 50.38 deg, 1.811 Å, rel. 18; 84.59 deg, 1.146 Å, rel. 15; 74.01 deg, 1.281 Å, rel. 11; 55.26 deg, 1.662 Å, rel. 10; 67.13 deg, 1.394 Å, rel. 7; 78.02 deg, 1.225 Å, rel. 7

```
4
Lattice="0.000 3.623 3.623 3.623 0.000 3.623 3.623 3.623 0.000" Properties=species:S:1:pos:R:3 pbc="T T T"
Li 0.000 0.000 0.000
Pr 3.623 3.623 3.623
In 5.434 5.434 5.434
Ga 1.811 1.811 1.811
```


[13]
Calculated X-ray diffraction stick pattern
Compound: LiPb2
Radiation: CuKα
Structure: the PBE geometry in Alexandria
Kinematic intensities with the Lorentz-polarization factor, no thermal factor.

The 10 most intense peaks (10 to 90 degrees two-theta), in order of falling intensity:
34.61 deg, 2.592 Å, rel. 100; 28.90 deg, 3.090 Å, rel. 98; 32.57 deg, 2.749 Å, rel. 63; 58.12 deg, 1.587 Å, rel. 56; 37.78 deg, 2.381 Å, rel. 46; 55.88 deg, 1.645 Å, rel. 31; 59.43 deg, 1.555 Å, rel. 27; 22.87 deg, 3.888 Å, rel. 24; 86.77 deg, 1.122 Å, rel. 20; 69.43 deg, 1.354 Å, rel. 20

```
24
Lattice="0.000 6.734 6.734 6.734 0.000 6.734 6.734 6.734 0.000" Properties=species:S:1:pos:R:3 pbc="T T T"
Li 10.700 6.136 6.136
Li 2.769 2.769 2.769
Li 7.333 7.333 2.769
Li 7.333 2.769 7.333
Li 6.136 10.700 6.136
Li 6.136 6.136 10.700
Li 10.700 10.700 10.700
Li 2.769 7.333 7.333
Pb 0.000 0.000 0.000
Pb 3.367 3.367 0.000
Pb 3.367 0.000 3.367
Pb 5.051 5.051 2.511
Pb 5.051 2.511 5.051
Pb 7.590 5.051 5.051
Pb 8.418 8.418 5.878
Pb 8.418 5.878 8.418
Pb 10.957 8.418 8.418
Pb 0.000 3.367 3.367
Pb 2.511 5.051 5.051
Pb 5.051 7.590 5.051
Pb 5.051 5.051 7.590
Pb 5.878 8.418 8.418
Pb 8.418 10.957 8.418
Pb 8.418 8.418 10.957
```